No. 1
Rb2SmB2S6: computed X-ray powder pattern (Cu Kα), based on a crystal structure in Alexandria, relaxed with PBE.

Atomic structure:
Cell lengths 11.882, 6.715, 8.616 Å; angles 90.00, 118.21, 90.00 degrees
Space group C2/m (No. 12)
Inequivalent atoms, fractional coordinates:
Rb 0.203 0.000 0.175
Sm 0.000 0.000 0.500
B 0.071 0.500 0.282
S 0.020 0.270 0.761
S 0.237 0.500 0.339

Peak list (10 most intense, 10° ≤ 2θ ≤ 90°, most intense first)
- 2θ = 24.69°, I = 100
- 2θ = 34.39°, I = 66
- 2θ = 15.68°, I = 56
- 2θ = 26.12°, I = 51
- 2θ = 21.87°, I = 44
- 2θ = 36.65°, I = 30
- 2θ = 44.86°, I = 30
- 2θ = 30.41°, I = 29
- 2θ = 34.25°, I = 26
- 2θ = 26.55°, I = 25

No. 2
RbScBSe4: computed X-ray powder pattern (Cu Kα), based on a crystal structure in Alexandria, relaxed with PBE.

Atomic structure:
Cell lengths 6.642, 5.821, 9.583 Å; angles 90.00, 104.40, 90.00 degrees
Space group P2_1/m (No. 11)
Inequivalent atoms, fractional coordinates:
Rb 0.245 0.250 0.456
Sc 0.251 0.250 0.950
B 0.245 0.750 0.160
Se 0.058 0.750 0.296
Se 0.096 0.750 0.945
Se 0.488 0.502 0.197

Peak list (10 most intense, 10° ≤ 2θ ≤ 90°, most intense first)
- 2θ = 33.80°, I = 100
- 2θ = 29.60°, I = 97
- 2θ = 37.29°, I = 53
- 2θ = 26.33°, I = 50
- 2θ = 30.55°, I = 49
- 2θ = 36.44°, I = 46
- 2θ = 35.20°, I = 45
- 2θ = 55.87°, I = 43
- 2θ = 24.15°, I = 42
- 2θ = 32.68°, I = 37

No. 3
Rb3B2Se8: computed X-ray powder pattern (Cu Kα), based on a crystal structure in Alexandria, relaxed with PBE.

Atomic structure:
Cell lengths 6.5398, 6.5398, 30.5701 Å; angles 90.00, 90.00, 120.00 degrees
Space group R-3m (No. 166, hexagonal axes)
Inequivalent atoms, fractional coordinates:
Rb 0.0000 0.0000 0.0000
Rb 0.0000 0.0000 0.2622
B 0.0000 0.0000 0.4402
Se 0.0000 0.0000 0.3738
Se 0.0076 0.5038 0.7990

Peak list (10 most intense, 10° ≤ 2θ ≤ 90°, most intense first)
- 2θ = 28.17°, I = 100
- 2θ = 28.67°, I = 98
- 2θ = 34.92°, I = 83
- 2θ = 32.15°, I = 60
- 2θ = 56.27°, I = 45
- 2θ = 48.76°, I = 38
- 2θ = 27.27°, I = 33
- 2θ = 25.76°, I = 23
- 2θ = 49.08°, I = 22
- 2θ = 45.74°, I = 22